# 1
Starting from DFT lattice parameters and positions (PBE), the XRD peak list of Pu5Zn2Pt5 was computed for Cu Kα.

Most intense lines, 15 to 90 degrees two-theta, sorted by position:
(3 1 -2), d 3.071, 29.1 deg, I = 19
(3 1 -3), d 2.465, 36.4 deg, I = 47
(0 2 0), d 2.441, 36.8 deg, I = 51
(2 0 2), d 2.291, 39.3 deg, I = 25
(5 1 -1), d 2.253, 40.0 deg, I = 100
(5 3 -1), d 1.370, 68.5 deg, I = 26

Cell and atoms:
```
data_Pu5Zn2Pt5
_cell_length_a 13.581
_cell_length_b 4.881
_cell_length_c 8.571
_cell_angle_alpha 90.00
_cell_angle_beta 127.98
_cell_angle_gamma 90.00
_space_group_name_H-M_alt 'C 1 2/m 1'
_space_group_IT_number 12
loop_
_space_group_symop_operation_xyz
'x,y,z'
'-x,-y,-z'
'-x,y,-z'
'x,-y,z'
'x+1/2,y+1/2,z'
'-x+1/2,-y+1/2,-z'
'-x+1/2,y+1/2,-z'
'x+1/2,-y+1/2,z'
loop_
_atom_site_label
_atom_site_type_symbol
_atom_site_fract_x
_atom_site_fract_y
_atom_site_fract_z
Pu1 Pu 0.000 0.000 0.000
Pu2 Pu 0.076 0.000 0.426
Pu3 Pu 0.145 0.000 0.761
Zn1 Zn 0.144 0.500 0.265
Pt1 Pt 0.000 0.500 0.500
Pt2 Pt 0.096 0.500 0.901
Pt3 Pt 0.249 0.500 0.659
```

# 2
Starting from DFT lattice parameters and positions (PBE), the XRD peak list of PuZn11Pt was computed for Cu Kα.

Most intense lines, 15 to 90 degrees two-theta, sorted by position:
(1 1 0), d 4.461, 19.9 deg, I = 26
(1 3 -2), d 2.591, 34.6 deg, I = 38
(0 4 2), d 2.258, 39.9 deg, I = 100
(1 5 0), d 2.254, 40.0 deg, I = 50
(2 2 0), d 2.231, 40.4 deg, I = 43
(2 2 -2), d 2.222, 40.6 deg, I = 46

Cell and atoms:
```
data_PuZn11Pt
_cell_length_a 5.116
_cell_length_b 12.796
_cell_length_c 6.862
_cell_angle_alpha 90.00
_cell_angle_beta 111.50
_cell_angle_gamma 90.00
_space_group_name_H-M_alt 'C 1 2/m 1'
_space_group_IT_number 12
loop_
_space_group_symop_operation_xyz
'x,y,z'
'-x,-y,-z'
'-x,y,-z'
'x,-y,z'
'x+1/2,y+1/2,z'
'-x+1/2,-y+1/2,-z'
'-x+1/2,y+1/2,-z'
'x+1/2,-y+1/2,z'
loop_
_atom_site_label
_atom_site_type_symbol
_atom_site_fract_x
_atom_site_fract_y
_atom_site_fract_z
Pu1 Pu 0.000 0.000 0.000
Zn1 Zn 0.000 0.500 0.500
Zn2 Zn 0.105 0.392 0.214
Zn3 Zn 0.167 0.176 0.354
Zn4 Zn 0.250 0.250 0.000
Pt1 Pt 0.000 0.000 0.500
```

# 3
Starting from DFT lattice parameters and positions (PBE), the XRD peak list of PuZn9Pt2 was computed for Cu Kα.

Most intense lines, 15 to 90 degrees two-theta, sorted by position:
(2 1 1), d 3.917, 22.7 deg, I = 80
(3 2 1), d 2.707, 33.1 deg, I = 95
(3 1 2), d 2.413, 37.3 deg, I = 100
(4 2 0), d 2.369, 38.0 deg, I = 68
(1 0 3), d 2.266, 39.8 deg, I = 53
(4 2 2), d 1.958, 46.4 deg, I = 69

Cell and atoms:
```
data_PuZn9Pt2
_cell_length_a 10.595
_cell_length_b 10.595
_cell_length_c 6.959
_cell_angle_alpha 90.00
_cell_angle_beta 90.00
_cell_angle_gamma 90.00
_space_group_name_H-M_alt 'I 41/a m d'
_space_group_IT_number 141
loop_
_space_group_symop_operation_xyz
'x,y,z'
'-x,-y,-z'
'-y+1/4,x+3/4,z+1/4'
'y+1/4,-x+3/4,-z+1/4'
'-x+1/2,-y,z+1/2'
'x+1/2,y,-z+1/2'
'y+1/4,-x+1/4,z+3/4'
'-y+1/4,x+1/4,-z+3/4'
'x,-y,-z'
'-x,y,z'
'-y+1/4,-x+1/4,-z+3/4'
'y+1/4,x+1/4,z+3/4'
'-x+1/2,y,-z+1/2'
'x+1/2,-y,z+1/2'
'y+1/4,x+3/4,-z+1/4'
'-y+1/4,-x+3/4,z+1/4'
'x+1/2,y+1/2,z+1/2'
'-x+1/2,-y+1/2,-z+1/2'
'-y+3/4,x+1/4,z+3/4'
'y+3/4,-x+1/4,-z+3/4'
'-x,-y+1/2,z'
'x,y+1/2,-z'
'y+3/4,-x+3/4,z+1/4'
'-y+3/4,x+3/4,-z+1/4'
'x+1/2,-y+1/2,-z+1/2'
'-x+1/2,y+1/2,z+1/2'
'-y+3/4,-x+3/4,-z+1/4'
'y+3/4,x+3/4,z+1/4'
'-x,y+1/2,-z'
'x,-y+1/2,z'
'y+3/4,x+1/4,-z+3/4'
'-y+3/4,-x+1/4,z+3/4'
loop_
_atom_site_label
_atom_site_type_symbol
_atom_site_fract_x
_atom_site_fract_y
_atom_site_fract_z
Pu1 Pu 0.000 0.250 0.375
Zn1 Zn 0.000 0.250 0.875
Zn2 Zn 0.121 0.043 0.677
Pt1 Pt 0.000 0.000 0.000
```

# 4
Starting from DFT lattice parameters and positions (PBE), the XRD peak list of Pu6ZnPt5 was computed for Cu Kα.

Most intense lines, 15 to 90 degrees two-theta, sorted by position:
(2 0 -1), d 2.569, 34.9 deg, I = 63
(1 -2 2), d 2.532, 35.5 deg, I = 100
(1 2 0), d 2.502, 35.9 deg, I = 99
(-1 2 1), d 2.450, 36.7 deg, I = 77
(1 2 -3), d 2.432, 37.0 deg, I = 93
(0 0 3), d 2.379, 37.8 deg, I = 87

Cell and atoms:
```
data_Pu6ZnPt5
_cell_length_a 5.149
_cell_length_b 7.036
_cell_length_c 8.233
_cell_angle_alpha 115.21
_cell_angle_beta 104.68
_cell_angle_gamma 90.81
_space_group_name_H-M_alt 'P -1'
_space_group_IT_number 2
loop_
_space_group_symop_operation_xyz
'x,y,z'
'-x,-y,-z'
loop_
_atom_site_label
_atom_site_type_symbol
_atom_site_fract_x
_atom_site_fract_y
_atom_site_fract_z
Pu1 Pu 0.007 0.277 0.034
Pu2 Pu 0.253 0.093 0.666
Pu3 Pu 0.287 0.563 0.637
Zn1 Zn 0.500 0.000 0.000
Pt1 Pt 0.249 0.694 0.332
Pt2 Pt 0.258 0.125 0.308
Pt3 Pt 0.500 0.500 0.000
```

# 5
Starting from DFT lattice parameters and positions (PBE), the XRD peak list of Pu2ZnPt was computed for Cu Kα.

Most intense lines, 15 to 90 degrees two-theta, sorted by position:
(1 1 -2), d 2.801, 32.0 deg, I = 83
(0 1 2), d 2.769, 32.3 deg, I = 100
(2 0 -2), d 2.656, 33.7 deg, I = 46
(1 0 2), d 2.576, 34.8 deg, I = 41
(2 1 0), d 2.323, 38.8 deg, I = 67
(0 2 0), d 2.230, 40.4 deg, I = 86

Cell and atoms:
```
data_Pu2ZnPt
_cell_length_a 5.818
_cell_length_b 4.460
_cell_length_c 7.549
_cell_angle_alpha 90.00
_cell_angle_beta 110.67
_cell_angle_gamma 90.00
_space_group_name_H-M_alt 'P 1 21/m 1'
_space_group_IT_number 11
loop_
_space_group_symop_operation_xyz
'x,y,z'
'-x,-y,-z'
'-x,y+1/2,-z'
'x,-y+1/2,z'
loop_
_atom_site_label
_atom_site_type_symbol
_atom_site_fract_x
_atom_site_fract_y
_atom_site_fract_z
Pu1 Pu 0.188 0.250 0.422
Pu2 Pu 0.212 0.250 0.921
Zn1 Zn 0.354 0.750 0.218
Pt1 Pt 0.369 0.750 0.709
```

# 6
Starting from DFT lattice parameters and positions (PBE), the XRD peak list of Pu4ZnPt3 was computed for Cu Kα.

Most intense lines, 15 to 90 degrees two-theta, sorted by position:
(0 0 2), d 2.751, 32.5 deg, I = 38
(3 2 1), d 2.693, 33.3 deg, I = 93
(4 2 0), d 2.490, 36.1 deg, I = 66
(2 0 2), d 2.467, 36.4 deg, I = 39
(4 1 1), d 2.424, 37.1 deg, I = 100
(5 2 1), d 1.935, 46.9 deg, I = 38

Cell and atoms:
```
data_Pu4ZnPt3
_cell_length_a 11.134
_cell_length_b 11.134
_cell_length_c 5.503
_cell_angle_alpha 90.00
_cell_angle_beta 90.00
_cell_angle_gamma 90.00
_space_group_name_H-M_alt 'I 4/m c m'
_space_group_IT_number 140
_space_group_name_Hall '-I 4 2c'
loop_
_atom_site_label
_atom_site_type_symbol
_atom_site_fract_x
_atom_site_fract_y
_atom_site_fract_z
Pu1 Pu 0.085 0.228 0.000
Zn1 Zn 0.000 0.500 0.250
Pt1 Pt 0.000 0.000 0.250
Pt2 Pt 0.152 0.348 0.500
```

# 7
Starting from DFT lattice parameters and positions (PBE), the XRD peak list of Rb4Pt3 was computed for Cu Kα.

Most intense lines, 15 to 90 degrees two-theta, sorted by position:
(1 0 7), d 3.096, 28.8 deg, I = 62
(1 1 0), d 2.642, 33.9 deg, I = 100
(1 0 11), d 2.562, 35.0 deg, I = 98
(1 1 4), d 2.548, 35.2 deg, I = 70
(2 0 0), d 1.868, 48.8 deg, I = 36
(2 1 11), d 1.509, 61.4 deg, I = 38

Cell and atoms:
```
data_Rb4Pt3
_cell_length_a 3.736
_cell_length_b 3.736
_cell_length_c 38.738
_cell_angle_alpha 90.00
_cell_angle_beta 90.00
_cell_angle_gamma 90.00
_space_group_name_H-M_alt 'I 4/m m m'
_space_group_IT_number 139
_space_group_name_Hall '-I 4 2'
loop_
_atom_site_label
_atom_site_type_symbol
_atom_site_fract_x
_atom_site_fract_y
_atom_site_fract_z
Rb1 Rb 0.000 0.000 0.051
Rb2 Rb 0.000 0.000 0.323
Pt1 Pt 0.000 0.000 0.244
Pt2 Pt 0.000 0.000 0.500
```

# 8
Starting from DFT lattice parameters and positions (PBE), the XRD peak list of Rb2PtRhS4 was computed for Cu Kα.

Most intense lines, 15 to 90 degrees two-theta, sorted by position:
(0 2 2), d 5.866, 15.1 deg, I = 100
(0 0 4), d 5.722, 15.5 deg, I = 83
(0 2 6), d 3.331, 26.8 deg, I = 90
(1 3 3), d 3.231, 27.6 deg, I = 65
(2 2 0), d 2.644, 33.9 deg, I = 49
(2 0 6), d 2.292, 39.3 deg, I = 56

Cell and atoms:
```
data_Rb2PtRhS4
_cell_length_a 5.735
_cell_length_b 13.665
_cell_length_c 22.887
_cell_angle_alpha 90.00
_cell_angle_beta 90.00
_cell_angle_gamma 90.00
_space_group_name_H-M_alt 'F d d d'
_space_group_IT_number 70
loop_
_space_group_symop_operation_xyz
'x,y,z'
'-x,-y,-z'
'-x+1/4,-y+1/4,z'
'x+1/4,y+1/4,-z'
'x,-y+1/4,-z+1/4'
'-x,y+1/4,z+1/4'
'-x+1/4,y,-z+1/4'
'x+1/4,-y,z+1/4'
'x,y+1/2,z+1/2'
'-x,-y+1/2,-z+1/2'
'-x+1/4,-y+3/4,z+1/2'
'x+1/4,y+3/4,-z+1/2'
'x,-y+3/4,-z+3/4'
'-x,y+3/4,z+3/4'
'-x+1/4,y+1/2,-z+3/4'
'x+1/4,-y+1/2,z+3/4'
'x+1/2,y,z+1/2'
'-x+1/2,-y,-z+1/2'
'-x+3/4,-y+1/4,z+1/2'
'x+3/4,y+1/4,-z+1/2'
'x+1/2,-y+1/4,-z+3/4'
'-x+1/2,y+1/4,z+3/4'
'-x+3/4,y,-z+3/4'
'x+3/4,-y,z+3/4'
'x+1/2,y+1/2,z'
'-x+1/2,-y+1/2,-z'
'-x+3/4,-y+3/4,z'
'x+3/4,y+3/4,-z'
'x+1/2,-y+3/4,-z+1/4'
'-x+1/2,y+3/4,z+1/4'
'-x+3/4,y+1/2,-z+1/4'
'x+3/4,-y+1/2,z+1/4'
loop_
_atom_site_label
_atom_site_type_symbol
_atom_site_fract_x
_atom_site_fract_y
_atom_site_fract_z
Rb1 Rb 0.125 0.125 0.307
Pt1 Pt 0.125 0.125 0.625
Rh1 Rh 0.125 0.125 0.125
S1 S 0.117 0.280 0.431
```

Repeat the second record exactly.
Starting from DFT lattice parameters and positions (PBE), the XRD peak list of PuZn11Pt was computed for Cu Kα.

Most intense lines, 15 to 90 degrees two-theta, sorted by position:
(1 1 0), d 4.461, 19.9 deg, I = 26
(1 3 -2), d 2.591, 34.6 deg, I = 38
(0 4 2), d 2.258, 39.9 deg, I = 100
(1 5 0), d 2.254, 40.0 deg, I = 50
(2 2 0), d 2.231, 40.4 deg, I = 43
(2 2 -2), d 2.222, 40.6 deg, I = 46

Cell and atoms:
```
data_PuZn11Pt
_cell_length_a 5.116
_cell_length_b 12.796
_cell_length_c 6.862
_cell_angle_alpha 90.00
_cell_angle_beta 111.50
_cell_angle_gamma 90.00
_space_group_name_H-M_alt 'C 1 2/m 1'
_space_group_IT_number 12
loop_
_space_group_symop_operation_xyz
'x,y,z'
'-x,-y,-z'
'-x,y,-z'
'x,-y,z'
'x+1/2,y+1/2,z'
'-x+1/2,-y+1/2,-z'
'-x+1/2,y+1/2,-z'
'x+1/2,-y+1/2,z'
loop_
_atom_site_label
_atom_site_type_symbol
_atom_site_fract_x
_atom_site_fract_y
_atom_site_fract_z
Pu1 Pu 0.000 0.000 0.000
Zn1 Zn 0.000 0.500 0.500
Zn2 Zn 0.105 0.392 0.214
Zn3 Zn 0.167 0.176 0.354
Zn4 Zn 0.250 0.250 0.000
Pt1 Pt 0.000 0.000 0.500
```

- What is the formula in the eighth record?
  Rb2PtRhS4